This entry pairs a crystal structure of Ba3Fe3O8 with its theoretical powder diffractogram. Radiation: λ = 1.5418 Å (Cu Kα). Structure: a DFT-relaxed cell (GGA+U, the Materials Project).
Neutral-atom scattering factors, no anomalous dispersion.

```
data_Ba3Fe3O8
_symmetry_space_group_name_H-M 'A m m 2'
_symmetry_Int_Tables_number 38
_cell_length_a 14.1588
_cell_length_b 5.7893
_cell_length_c 10.1858
_cell_angle_alpha 90.00
_cell_angle_beta 90.00
_cell_angle_gamma 90.00
loop_
_symmetry_equiv_pos_as_xyz
'x,y,z'
'-x,-y,z'
'-x,y,z'
'x,-y,z'
'x,y+1/2,z+1/2'
'-x,-y+1/2,z+1/2'
'-x,y+1/2,z+1/2'
'x,-y+1/2,z+1/2'
loop_
_atom_site_label
_atom_site_type_symbol
_atom_site_fract_x
_atom_site_fract_y
_atom_site_fract_z
Ba1 Ba 0.0000 0.0000 0.0000
Ba2 Ba 0.1474 0.0000 0.6679
Ba3 Ba 0.3393 0.0000 0.3279
Ba4 Ba 0.5000 0.0000 0.0070
Fe1 Fe 0.0937 0.0000 0.3381
Fe2 Fe 0.2393 0.0000 0.0193
Fe3 Fe 0.4102 0.0000 0.6410
O1 O 0.0000 0.0000 0.4903
O2 O 0.0000 0.2314 0.2657
O3 O 0.1655 0.0000 0.1727
O4 O 0.1799 0.2397 0.9129
O5 O 0.3318 0.2440 0.0838
O6 O 0.5000 0.0000 0.4939
O7 O 0.5000 0.2182 0.7372
```

The 10 most intense peaks (15° ≤ 2θ ≤ 90°), low angle first:
hkl 3 1 1, 25.9 deg, I 38.2; hkl 0 1 3, 30.5 deg, I 91.3; hkl 4 0 2, 30.8 deg, I 27.9; hkl 0 2 0, 30.9 deg, I 100.0; hkl 3 2 2, 40.6 deg, I 21.5; hkl 4 0 4, 43.8 deg, I 17.5; hkl 4 2 2, 44.2 deg, I 32.6; hkl 0 3 3, 54.7 deg, I 16.9; hkl 4 3 1, 54.9 deg, I 16.7; hkl 0 2 6, 63.5 deg, I 14.9

---

This entry pairs a crystal structure of Ba4Fe4O11 with its theoretical powder diffractogram. Radiation: λ = 1.5418 Å (Cu Kα). Structure: a DFT-relaxed cell (GGA+U, the Materials Project).
Neutral-atom scattering factors, no anomalous dispersion.

```
data_Ba4Fe4O11
_symmetry_space_group_name_H-M 'P 1'
_symmetry_Int_Tables_number 1
_cell_length_a 5.7686
_cell_length_b 5.7956
_cell_length_c 28.4396
_cell_angle_alpha 90.20
_cell_angle_beta 90.05
_cell_angle_gamma 119.77
loop_
_symmetry_equiv_pos_as_xyz
'x,y,z'
loop_
_atom_site_label
_atom_site_type_symbol
_atom_site_fract_x
_atom_site_fract_y
_atom_site_fract_z
Ba1 Ba 0.0000 0.0000 0.0000
Ba2 Ba 0.0011 0.9999 0.8293
Ba3 Ba 0.0021 0.0054 0.3339
Ba4 Ba 0.3148 0.6540 0.6621
Ba5 Ba 0.3250 0.6479 0.9146
Ba6 Ba 0.3292 0.6580 0.4160
Ba7 Ba 0.3298 0.6615 0.1618
Ba8 Ba 0.6630 0.3281 0.2390
Ba9 Ba 0.6637 0.3290 0.0861
Ba10 Ba 0.6657 0.3280 0.5771
Ba11 Ba 0.6689 0.3324 0.7469
Ba12 Ba 0.9960 0.9909 0.4917
Fe1 Fe 0.3109 0.6233 0.2832
Fe2 Fe 0.3239 0.6544 0.7884
Fe3 Fe 0.3253 0.6574 0.5373
Fe4 Fe 0.3293 0.6594 0.0395
Fe5 Fe 0.6484 0.2992 0.8627
Fe6 Fe 0.6509 0.3019 0.9648
Fe7 Fe 0.6600 0.3241 0.4607
Fe8 Fe 0.6908 0.3816 0.3689
Fe9 Fe 0.9673 0.9789 0.7135
Fe10 Fe 0.9695 0.9807 0.6116
Fe11 Fe 0.9901 0.9821 0.2112
Fe12 Fe 0.9965 0.9947 0.1172
O1 O 0.1555 0.3124 0.2462
O2 O 0.1566 0.8288 0.0798
O3 O 0.1651 0.3209 0.7471
O4 O 0.1684 0.8385 0.7446
O5 O 0.1693 0.3223 0.5825
O6 O 0.1689 0.3393 0.0765
O7 O 0.1692 0.8365 0.5808
O8 O 0.1795 0.8380 0.2527
O9 O 0.2933 0.1380 0.1616
O10 O 0.3735 0.1827 0.4050
O11 O 0.3858 0.2117 0.9147
O12 O 0.4844 0.9770 0.8289
O13 O 0.4854 0.4835 0.4971
O14 O 0.4884 0.9758 0.9987
O15 O 0.4918 0.9887 0.4958
O16 O 0.5016 0.5012 0.3282
O17 O 0.5063 0.5006 0.8321
O18 O 0.5101 0.5021 0.9945
O19 O 0.6452 0.8144 0.7477
O20 O 0.6447 0.8193 0.5779
O21 O 0.6561 0.8384 0.2528
O22 O 0.6705 0.8287 0.0799
O23 O 0.8101 0.1842 0.4059
O24 O 0.8293 0.6580 0.4156
O25 O 0.8300 0.2184 0.9139
O26 O 0.8413 0.6843 0.1690
O27 O 0.8429 0.1384 0.1617
O28 O 0.8801 0.7166 0.6622
O29 O 0.8836 0.1591 0.6636
O30 O 0.9911 0.4969 0.8292
O31 O 0.9909 0.5010 0.9946
O32 O 0.9955 0.4863 0.4991
O33 O 0.9983 0.5001 0.3283
```

The 10 most intense peaks (15° ≤ 2θ ≤ 90°), low angle first:
hkl 0 1 -6, 25.8 deg, I 15.7; hkl 1 0 6, 25.9 deg, I 32.3; hkl 1 1 0, 30.8 deg, I 72.7; hkl 1 -2 0, 30.9 deg, I 100.0; hkl 2 -1 0, 31.0 deg, I 43.6; hkl 0 2 6, 40.7 deg, I 18.5; hkl 2 -2 8, 44.2 deg, I 22.7; hkl -2 2 8, 44.3 deg, I 15.8; hkl 0 3 0, 54.7 deg, I 15.7; hkl 3 0 0, 55.0 deg, I 18.4

---

This entry pairs a crystal structure of Ba4Fe9O20 with its theoretical powder diffractogram. Radiation: λ = 1.5418 Å (Cu Kα). Structure: a DFT-relaxed cell (GGA+U, the Materials Project).
Neutral-atom scattering factors, no anomalous dispersion.

```
data_Ba4Fe9O20
_symmetry_space_group_name_H-M 'C 1 2/m 1'
_symmetry_Int_Tables_number 12
_cell_length_a 10.3429
_cell_length_b 5.9870
_cell_length_c 14.5480
_cell_angle_alpha 90.00
_cell_angle_beta 90.62
_cell_angle_gamma 90.00
loop_
_symmetry_equiv_pos_as_xyz
'x,y,z'
'-x,-y,-z'
'-x,y,-z'
'x,-y,z'
'x+1/2,y+1/2,z'
'-x+1/2,-y+1/2,-z'
'-x+1/2,y+1/2,-z'
'x+1/2,-y+1/2,z'
loop_
_atom_site_label
_atom_site_type_symbol
_atom_site_fract_x
_atom_site_fract_y
_atom_site_fract_z
Ba1 Ba 0.0012 0.0000 0.2626
Ba2 Ba 0.1666 0.5000 0.4205
Fe1 Fe 0.0000 0.0000 0.0000
Fe2 Fe 0.0000 0.0000 0.5000
Fe3 Fe 0.0000 0.5000 0.0000
Fe4 Fe 0.1626 0.5000 0.7887
Fe5 Fe 0.1699 0.5000 0.1754
Fe6 Fe 0.2500 0.2500 0.0000
O1 O 0.0129 0.5000 0.2468
O2 O 0.0787 0.2200 0.5708
O3 O 0.0867 0.2562 0.0751
O4 O 0.1422 0.0000 0.4236
O5 O 0.1652 0.5000 0.9253
O6 O 0.1693 0.0000 0.9250
O7 O 0.2483 0.2379 0.7548
```

The 10 most intense peaks (15° ≤ 2θ ≤ 90°), low angle first:
hkl 1 1 2, 21.1 deg, I 14.0; hkl 0 0 4, 24.5 deg, I 19.1; hkl 1 1 3, 25.2 deg, I 19.9; hkl 3 1 0, 29.9 deg, I 100.0; hkl 2 2 -3, 39.3 deg, I 14.4; hkl 4 0 -4, 42.7 deg, I 23.2; hkl 2 2 4, 43.0 deg, I 39.2; hkl 3 3 0, 53.0 deg, I 19.3; hkl 1 1 8, 53.5 deg, I 14.1; hkl 6 2 0, 62.2 deg, I 32.8

---

This entry pairs a crystal structure of BaFeO3 with its theoretical powder diffractogram. Radiation: λ = 1.5418 Å (Cu Kα). Structure: a DFT-relaxed cell (GGA+U, the Materials Project).
Neutral-atom scattering factors, no anomalous dispersion.

```
data_BaFeO3
_symmetry_space_group_name_H-M 'R 3 m'
_symmetry_Int_Tables_number 160
_symmetry_space_group_name_Hall 'R 3 -2"'
_cell_length_a 6.1825
_cell_length_b 6.1825
_cell_length_c 37.6582
_cell_angle_alpha 90.00
_cell_angle_beta 90.00
_cell_angle_gamma 120.00
loop_
_atom_site_label
_atom_site_type_symbol
_atom_site_fract_x
_atom_site_fract_y
_atom_site_fract_z
Ba1 Ba 0.0000 0.0000 0.0000
Ba2 Ba 0.0000 0.0000 0.1755
Ba3 Ba 0.0000 0.0000 0.5833
Ba4 Ba 0.0000 0.0000 0.8125
Fe1 Fe 0.0000 0.0000 0.2831
Fe2 Fe 0.0000 0.0000 0.3782
Fe3 Fe 0.0000 0.0000 0.4495
Fe4 Fe 0.0000 0.0000 0.9051
O1 O 0.0092 0.5046 0.6111
O2 O 0.0589 0.5295 0.5417
O3 O 0.1801 0.3603 0.0439
O4 O 0.1822 0.3645 0.1308
```

The 10 most intense peaks (15° ≤ 2θ ≤ 90°), low angle first:
hkl 0 1 5, 20.4 deg, I 67.8; hkl 1 0 7, 23.4 deg, I 26.6; hkl 1 1 0, 28.9 deg, I 100.0; hkl 1 0 10, 29.0 deg, I 34.8; hkl 0 1 11, 31.0 deg, I 31.9; hkl 2 0 5, 35.6 deg, I 23.3; hkl 2 0 11, 42.9 deg, I 18.3; hkl 1 2 5, 46.5 deg, I 17.7; hkl 3 0 0, 51.2 deg, I 31.5; hkl 2 2 0, 59.8 deg, I 20.0

---

This entry pairs a crystal structure of BaFe4O8 with its theoretical powder diffractogram. Radiation: λ = 1.5418 Å (Cu Kα). Structure: a DFT-relaxed cell (GGA+U, the Materials Project).
Neutral-atom scattering factors, no anomalous dispersion.

```
data_BaFe4O8
_symmetry_space_group_name_H-M 'P -3 1 m'
_symmetry_Int_Tables_number 162
_symmetry_space_group_name_Hall '-P 3 2'
_cell_length_a 5.6352
_cell_length_b 5.6352
_cell_length_c 7.6763
_cell_angle_alpha 90.00
_cell_angle_beta 90.00
_cell_angle_gamma 120.00
loop_
_atom_site_label
_atom_site_type_symbol
_atom_site_fract_x
_atom_site_fract_y
_atom_site_fract_z
Ba1 Ba 0.0000 0.0000 0.0000
Fe1 Fe 0.3333 0.6667 0.2435
O1 O 0.0000 0.3537 0.2895
O2 O 0.3333 0.6667 0.0000
```

The 10 most intense peaks (15° ≤ 2θ ≤ 90°), low angle first:
hkl 1 0 1, 21.6 deg, I 46.4; hkl 0 0 2, 23.2 deg, I 15.3; hkl 1 0 2, 29.6 deg, I 100.0; hkl 1 1 0, 31.8 deg, I 90.4; hkl 2 -1 1, 33.9 deg, I 51.1; hkl 2 0 2, 44.0 deg, I 28.1; hkl 3 -1 2, 55.3 deg, I 31.2; hkl 3 0 0, 56.6 deg, I 29.6; hkl 2 -1 4, 58.2 deg, I 33.5; hkl 3 0 4, 76.8 deg, I 18.5